Entry 1:
Theoretical XRD peak list of LaCo2Br8 for Cu Kα X-rays, from the GGA-PBE geometry in Alexandria.

Crystal structure
```
data_LaCo2Br8
_symmetry_space_group_name_H-M 'C 1 2/c 1'
_symmetry_Int_Tables_number 15
_symmetry_space_group_name_Hall '-C 2yc'
_cell_length_a 19.4720
_cell_length_b 9.0848
_cell_length_c 12.9690
_cell_angle_alpha 90.00
_cell_angle_beta 130.00
_cell_angle_gamma 90.00
loop_
_atom_site_label
_atom_site_fract_x
_atom_site_fract_y
_atom_site_fract_z
_atom_site_occupancy
La1 0.0000 0.0039 0.2500 1
Co1 0.0908 0.2488 0.5387 1
Br1 0.0628 0.2309 0.1642 1
Br2 0.0962 0.2359 0.7284 1
Br3 0.1549 0.4592 0.5421 1
Br4 0.1634 0.0369 0.5354 1
```

The 12 most intense peaks (2θ from 5° to 70°), by angle:
- 11.4°, intensity 43, (1 1 0)
- 11.9°, intensity 48, (2 0 0)
- 17.0°, intensity 26, (3 1 -1)
- 23.9°, intensity 32, (4 0 0)
- 27.0°, intensity 100, (4 2 -2)
- 27.2°, intensity 48, (2 0 2)
- 27.5°, intensity 22, (4 0 -4)
- 36.4°, intensity 19, (6 2 -4)
- 38.4°, intensity 16, (4 0 2)
- 39.7°, intensity 22, (0 4 0)
- 41.4°, intensity 50, (6 2 0)
- 47.9°, intensity 16, (4 2 -6)


Entry 2:
Theoretical XRD peak list of CuAsPb2SO9 for Cu Kα X-rays, from the GGA-PBE geometry in Alexandria.

Crystal structure
```
data_CuAsPb2SO9
_symmetry_space_group_name_H-M 'P 1 21/m 1'
_symmetry_Int_Tables_number 11
_symmetry_space_group_name_Hall '-P 2yb'
_cell_length_a 8.6092
_cell_length_b 5.8177
_cell_length_c 8.6160
_cell_angle_alpha 90.00
_cell_angle_beta 110.70
_cell_angle_gamma 90.00
loop_
_atom_site_label
_atom_site_fract_x
_atom_site_fract_y
_atom_site_fract_z
_atom_site_occupancy
Cu1 0.0000 0.0000 0.0000 1
As1 0.0170 0.2500 0.3355 1
Pb1 0.2643 0.7500 0.3650 1
Pb2 0.3104 0.2500 0.7686 1
S1 0.4503 0.2500 0.1874 1
O1 0.0071 0.0029 0.7835 1
O2 0.1312 0.7500 0.5787 1
O3 0.1369 0.7500 0.0578 1
O4 0.2195 0.2500 0.4659 1
O5 0.2694 0.2500 0.0921 1
O6 0.4531 0.7500 0.9254 1
O7 0.4962 0.0393 0.2977 1
```

The 12 most intense peaks (2θ from 5° to 70°), by angle:
- 18.8°, intensity 50, (0 1 1)
- 20.9°, intensity 33, (2 0 -1)
- 23.7°, intensity 40, (1 1 1)
- 26.0°, intensity 100, (2 1 -1)
- 28.0°, intensity 27, (1 0 2)
- 29.5°, intensity 40, (2 1 -2)
- 30.7°, intensity 36, (0 2 0)
- 31.1°, intensity 31, (1 0 -3)
- 32.1°, intensity 55, (2 1 1)
- 33.4°, intensity 26, (3 0 0)
- 38.2°, intensity 42, (2 2 0)
- 42.0°, intensity 38, (3 1 1)